The following is a computed powder X-ray diffraction pattern of K2Cu3C5N5. It was derived from a GGA-PBE-relaxed structure, using Cu Kα X-rays.
Peak positions follow from Bragg's law for the DFT cell and can differ from measured ones.

Crystal structure
```
data_K2Cu3C5N5
_chemical_formula_sum 'K8 Cu12 C20 N20'
_symmetry_space_group_name_H-M 'C 1 2/c 1'
_symmetry_Int_Tables_number 15
_symmetry_space_group_name_Hall '-C 2yc'
_cell_length_a 17.2103
_cell_length_b 7.8798
_cell_length_c 7.7104
_cell_angle_alpha 90.00
_cell_angle_beta 90.41
_cell_angle_gamma 90.00
loop_
_atom_site_label
_atom_site_fract_x
_atom_site_fract_y
_atom_site_fract_z
K1 0.1172 0.1916 0.3994
Cu1 0.0000 0.3758 0.7500
Cu2 0.1991 0.3468 0.8920
C1 0.0000 0.1400 0.7500
C2 0.1218 0.4254 0.0418
C3 0.2170 0.1554 0.7559
N1 0.0000 0.0099 0.2500
N2 0.0746 0.4898 0.1303
N3 0.2305 0.0364 0.6677
```

Largest 10 diffraction maxima, sorted by position, 10° ≤ 2θ ≤ 90°:
| two_theta | Rel. int. | hkl |
| --- | --- | --- |
| 12.35 | 81 | 1 1 0 |
| 16.87 | 83 | 1 1 -1 |
| 25.25 | 73 | 2 0 -2 |
| 25.39 | 66 | 0 2 1 |
| 27.44 | 99 | 2 2 -1 |
| 30.23 | 79 | 3 1 2 |
| 30.55 | 100 | 5 1 -1 |
| 30.70 | 68 | 5 1 1 |
| 31.26 | 92 | 4 0 2 |
| 43.31 | 95 | 5 3 0 |